Diffraction record for Ca2YGe. The X-ray diffraction stick pattern is computed, not measured: it uses the GGA-PBE geometry in Alexandria and Cu Ka.

The 8 most intense peaks (2θ from 10° to 80°), most intense first:
| Position (°2θ) | d_spacing | intensity |
| --- | --- | --- |
| 42.52 | 2.126 | 100 |
| 26.51 | 3.363 | 87 |
| 32.64 | 2.743 | 79 |
| 18.66 | 4.755 | 53 |
| 65.09 | 1.433 | 34 |
| 58.22 | 1.585 | 31 |
| 37.84 | 2.378 | 27 |
| 77.82 | 1.227 | 26 |

Structure:
```
data_Ca2YGe
_cell_length_a 7.366
_cell_length_b 7.366
_cell_length_c 7.366
_cell_angle_alpha 99.58
_cell_angle_beta 99.58
_cell_angle_gamma 131.85
_space_group_name_H-M_alt 'P 1'
_space_group_IT_number 1
loop_
_space_group_symop_operation_xyz
'x,y,z'
loop_
_atom_site_label
_atom_site_fract_x
_atom_site_fract_y
_atom_site_fract_z
Ca1 0.036 0.625 0.911
Ca2 0.375 0.286 0.411
Ca3 0.714 0.125 0.089
Ca4 0.875 0.964 0.589
Y1 0.250 0.750 0.500
Y2 0.500 0.500 0.000
Ge1 0.000 0.000 0.000
Ge2 0.750 0.250 0.500
```

***

Diffraction record for CaZn4Ge2. The X-ray diffraction stick pattern is computed, not measured: it uses the GGA-PBE geometry in Alexandria and Cu Ka.

The 8 most intense peaks (2θ from 10° to 80°), most intense first:
| Position (°2θ) | d_spacing | intensity |
| --- | --- | --- |
| 35.45 | 2.532 | 100 |
| 35.74 | 2.512 | 97 |
| 42.79 | 2.113 | 85 |
| 43.22 | 2.093 | 84 |
| 44.00 | 2.058 | 69 |
| 44.16 | 2.051 | 68 |
| 11.61 | 7.622 | 62 |
| 64.10 | 1.453 | 42 |

Structure:
```
data_CaZn4Ge2
_cell_length_a 4.117
_cell_length_b 4.101
_cell_length_c 7.869
_cell_angle_alpha 90.00
_cell_angle_beta 104.40
_cell_angle_gamma 90.00
_space_group_name_H-M_alt 'P 1'
_space_group_IT_number 1
loop_
_space_group_symop_operation_xyz
'x,y,z'
loop_
_atom_site_label
_atom_site_fract_x
_atom_site_fract_y
_atom_site_fract_z
Ca1 0.000 0.000 0.000
Zn1 0.184 0.500 0.373
Zn2 0.307 0.000 0.615
Zn3 0.693 0.000 0.385
Zn4 0.816 0.500 0.627
Ge1 0.415 0.500 0.831
Ge2 0.585 0.500 0.169
```

***

Diffraction record for Ca3ZnGe3. The X-ray diffraction stick pattern is computed, not measured: it uses the GGA-PBE geometry in Alexandria and Cu Ka.

The 8 most intense peaks (2θ from 10° to 80°), most intense first:
| Position (°2θ) | d_spacing | intensity |
| --- | --- | --- |
| 39.38 | 2.288 | 100 |
| 31.91 | 2.804 | 99 |
| 39.73 | 2.269 | 68 |
| 31.61 | 2.830 | 56 |
| 21.48 | 4.137 | 50 |
| 36.35 | 2.472 | 41 |
| 16.43 | 5.396 | 40 |
| 39.52 | 2.280 | 31 |

Structure:
```
data_Ca3ZnGe3
_cell_length_a 5.855
_cell_length_b 5.855
_cell_length_c 14.256
_cell_angle_alpha 109.07
_cell_angle_beta 109.07
_cell_angle_gamma 45.59
_space_group_name_H-M_alt 'P 1'
_space_group_IT_number 1
loop_
_space_group_symop_operation_xyz
'x,y,z'
loop_
_atom_site_label
_atom_site_fract_x
_atom_site_fract_y
_atom_site_fract_z
Ca1 0.034 0.034 0.381
Ca2 0.099 0.099 0.922
Ca3 0.244 0.244 0.226
Ca4 0.756 0.756 0.774
Ca5 0.901 0.901 0.078
Ca6 0.966 0.966 0.619
Zn1 0.257 0.257 0.603
Zn2 0.743 0.743 0.397
Ge1 0.370 0.370 0.460
Ge2 0.387 0.387 0.924
Ge3 0.461 0.461 0.769
Ge4 0.539 0.539 0.231
Ge5 0.613 0.613 0.076
Ge6 0.630 0.630 0.540
```

***

Diffraction record for Ca3H. The X-ray diffraction stick pattern is computed, not measured: it uses the GGA-PBE geometry in Alexandria and Cu Ka.

The 8 most intense peaks (2θ from 10° to 80°), most intense first:
| Position (°2θ) | d_spacing | intensity |
| --- | --- | --- |
| 28.86 | 3.094 | 100 |
| 34.11 | 2.629 | 60 |
| 28.23 | 3.161 | 53 |
| 27.23 | 3.275 | 50 |
| 39.63 | 2.274 | 35 |
| 50.38 | 1.811 | 28 |
| 45.41 | 1.997 | 21 |
| 61.67 | 1.504 | 19 |

Structure:
```
data_Ca3H
_cell_length_a 6.424
_cell_length_b 6.424
_cell_length_c 6.424
_cell_angle_alpha 148.92
_cell_angle_beta 68.14
_cell_angle_gamma 121.06
_space_group_name_H-M_alt 'P 1'
_space_group_IT_number 1
loop_
_space_group_symop_operation_xyz
'x,y,z'
loop_
_atom_site_label
_atom_site_fract_x
_atom_site_fract_y
_atom_site_fract_z
Ca1 0.000 0.000 0.000
Ca2 0.311 0.480 0.831
Ca3 0.649 0.480 0.169
H1 0.318 0.818 0.500
```

***

Diffraction record for Ca8H. The X-ray diffraction stick pattern is computed, not measured: it uses the GGA-PBE geometry in Alexandria and Cu Ka.

The 8 most intense peaks (2θ from 10° to 80°), most intense first:
| Position (°2θ) | d_spacing | intensity |
| --- | --- | --- |
| 30.23 | 2.956 | 100 |
| 28.14 | 3.171 | 27 |
| 26.68 | 3.341 | 23 |
| 51.13 | 1.786 | 20 |
| 55.78 | 1.648 | 20 |
| 47.11 | 1.929 | 18 |
| 39.17 | 2.300 | 16 |
| 57.01 | 1.615 | 14 |

Structure:
```
data_Ca8H
_cell_length_a 7.716
_cell_length_b 7.716
_cell_length_c 6.342
_cell_angle_alpha 90.00
_cell_angle_beta 90.00
_cell_angle_gamma 120.00
_space_group_name_H-M_alt 'P 1'
_space_group_IT_number 1
loop_
_space_group_symop_operation_xyz
'x,y,z'
loop_
_atom_site_label
_atom_site_fract_x
_atom_site_fract_y
_atom_site_fract_z
Ca1 0.163 0.325 0.257
Ca2 0.163 0.837 0.257
Ca3 0.325 0.163 0.743
Ca4 0.333 0.667 0.761
Ca5 0.667 0.333 0.239
Ca6 0.675 0.837 0.257
Ca7 0.837 0.163 0.743
Ca8 0.837 0.675 0.743
H1 0.000 0.000 0.500
```

***

Diffraction record for Ca3H. The X-ray diffraction stick pattern is computed, not measured: it uses the GGA-PBE geometry in Alexandria and Cu Ka.

The 8 most intense peaks (2θ from 10° to 80°), most intense first:
| Position (°2θ) | d_spacing | intensity |
| --- | --- | --- |
| 29.19 | 3.060 | 100 |
| 30.51 | 2.930 | 42 |
| 46.50 | 1.953 | 33 |
| 50.90 | 1.794 | 30 |
| 24.81 | 3.588 | 30 |
| 71.39 | 1.321 | 19 |
| 60.52 | 1.530 | 15 |
| 43.70 | 2.072 | 11 |

Structure:
```
data_Ca3H
_cell_length_a 7.176
_cell_length_b 7.176
_cell_length_c 7.176
_cell_angle_alpha 60.00
_cell_angle_beta 60.00
_cell_angle_gamma 60.00
_space_group_name_H-M_alt 'P 1'
_space_group_IT_number 1
loop_
_space_group_symop_operation_xyz
'x,y,z'
loop_
_atom_site_label
_atom_site_fract_x
_atom_site_fract_y
_atom_site_fract_z
Ca1 0.000 0.000 0.000
Ca2 0.000 0.000 0.500
Ca3 0.000 0.500 0.000
Ca4 0.375 0.375 0.375
Ca5 0.500 0.000 0.000
Ca6 0.625 0.625 0.625
H1 0.125 0.125 0.125
H2 0.875 0.875 0.875
```

***

Diffraction record for Ca2H7. The X-ray diffraction stick pattern is computed, not measured: it uses the GGA-PBE geometry in Alexandria and Cu Ka.

The 6 most intense peaks (2θ from 10° to 80°), most intense first:
| Position (°2θ) | d_spacing | intensity |
| --- | --- | --- |
| 26.70 | 3.339 | 100 |
| 38.12 | 2.361 | 80 |
| 62.17 | 1.493 | 32 |
| 47.15 | 1.928 | 32 |
| 68.89 | 1.363 | 24 |
| 55.01 | 1.669 | 15 |

Structure:
```
data_Ca2H7
_cell_length_a 4.722
_cell_length_b 4.722
_cell_length_c 4.722
_cell_angle_alpha 60.00
_cell_angle_beta 60.00
_cell_angle_gamma 60.00
_space_group_name_H-M_alt 'P 1'
_space_group_IT_number 1
loop_
_space_group_symop_operation_xyz
'x,y,z'
loop_
_atom_site_label
_atom_site_fract_x
_atom_site_fract_y
_atom_site_fract_z
Ca1 0.250 0.250 0.250
Ca2 0.750 0.750 0.750
H1 0.000 0.000 0.000
H2 0.235 0.235 0.765
H3 0.235 0.765 0.235
H4 0.235 0.765 0.765
H5 0.765 0.235 0.235
H6 0.765 0.235 0.765
H7 0.765 0.765 0.235
```

***

Diffraction record for Ca2H3. The X-ray diffraction stick pattern is computed, not measured: it uses the GGA-PBE geometry in Alexandria and Cu Ka.

The 8 most intense peaks (2θ from 10° to 80°), most intense first:
| Position (°2θ) | d_spacing | intensity |
| --- | --- | --- |
| 31.47 | 2.843 | 100 |
| 27.33 | 3.264 | 26 |
| 30.91 | 2.893 | 24 |
| 55.33 | 1.660 | 18 |
| 41.72 | 2.165 | 17 |
| 48.34 | 1.883 | 14 |
| 58.43 | 1.579 | 13 |
| 58.75 | 1.572 | 10 |

Structure:
```
data_Ca2H3
_cell_length_a 3.766
_cell_length_b 3.766
_cell_length_c 5.785
_cell_angle_alpha 90.02
_cell_angle_beta 90.02
_cell_angle_gamma 60.14
_space_group_name_H-M_alt 'P 1'
_space_group_IT_number 1
loop_
_space_group_symop_operation_xyz
'x,y,z'
loop_
_atom_site_label
_atom_site_fract_x
_atom_site_fract_y
_atom_site_fract_z
Ca1 0.167 0.167 0.257
Ca2 0.833 0.833 0.743
H1 0.167 0.167 0.657
H2 0.500 0.500 0.000
H3 0.833 0.833 0.343
```